[1]
For Zr2Sc4Cu3N3, a PBE-relaxed structure gives the computed powder diffraction line list in this record (λ = 1.5418 Å (Cu Kα)).
Lines closer than 0.1° are merged.

Atomic structure:
Lattice parameters (Å, degrees): 5.4907 5.4907 14.0301 101.49 101.49 59.99
Fractional coordinates of all 24 atoms:
Zr (0.0356, 0.8730, 0.6054)
Zr (0.1270, 0.9644, 0.8946)
Zr (0.8730, 0.0356, 0.1054)
Zr (0.9644, 0.1270, 0.3946)
Sc (0.1958, 0.3594, 0.0863)
Sc (0.3014, 0.4730, 0.4138)
Sc (0.3594, 0.1958, 0.5863)
Sc (0.4730, 0.3014, 0.9138)
Sc (0.5270, 0.6986, 0.0862)
Sc (0.6406, 0.8042, 0.4137)
Sc (0.6986, 0.5270, 0.5862)
Sc (0.8042, 0.6406, 0.9137)
Cu (0.0837, 0.3926, 0.7494)
Cu (0.3926, 0.0837, 0.2494)
Cu (0.4282, 0.5718, 0.2500)
Cu (0.5718, 0.4282, 0.7500)
Cu (0.6074, 0.9163, 0.7506)
Cu (0.9163, 0.6074, 0.2506)
N (0.0000, 0.5000, 0.5000)
N (0.1633, 0.6734, 0.0002)
N (0.3266, 0.8367, 0.4998)
N (0.5000, 0.0000, 0.0000)
N (0.6734, 0.1633, 0.5002)
N (0.8367, 0.3266, 0.9998)

Top 8 peaks for 15° ≤ 2θ ≤ 90°, by angle:
37.90 deg, I 23.5
38.09 deg, I 20.6
38.26 deg, I 100.0
38.35 deg, I 49.7
39.60 deg, I 34.9
42.21 deg, I 16.3
58.19 deg, I 19.0
68.73 deg, I 20.3


[2]
For AgBi2O3F, a PBE-relaxed structure gives the computed powder diffraction line list in this record (λ = 1.5418 Å (Cu Kα)).
Lines closer than 0.1° are merged.

Atomic structure:
Lattice parameters (Å, degrees): 7.8571 3.5688 8.1971 90.00 101.06 90.00
Fractional coordinates of all 14 atoms:
Ag (0.0635, 0.2500, 0.3793)
Ag (0.9365, 0.7500, 0.6207)
Bi (0.1909, 0.2500, 0.9850)
Bi (0.4232, 0.7500, 0.6744)
Bi (0.5768, 0.2500, 0.3256)
Bi (0.8091, 0.7500, 0.0150)
O (0.0825, 0.7500, 0.1240)
O (0.1919, 0.7500, 0.7838)
O (0.3269, 0.2500, 0.5161)
O (0.6731, 0.7500, 0.4839)
O (0.8081, 0.2500, 0.2162)
O (0.9175, 0.2500, 0.8760)
F (0.4659, 0.7500, 0.1251)
F (0.5341, 0.2500, 0.8749)

Top 8 peaks for 15° ≤ 2θ ≤ 90°, by angle:
27.34 deg, I 35.2
27.51 deg, I 68.8
28.85 deg, I 100.0
33.42 deg, I 35.6
33.57 deg, I 46.9
34.24 deg, I 48.0
37.01 deg, I 29.8
51.17 deg, I 32.6


[3]
For Al12W, a PBE-relaxed structure gives the computed powder diffraction line list in this record (λ = 1.5418 Å (Cu Kα)).
Lines closer than 0.1° are merged.

Atomic structure:
Lattice parameters (Å, degrees): 9.7298 9.7298 9.7298 31.08 31.08 31.08
Fractional coordinates of all 13 atoms:
Al (0.0461, 0.0461, 0.0461)
Al (0.0867, 0.5899, 0.5899)
Al (0.1557, 0.1557, 0.1557)
Al (0.3335, 0.3335, 0.3335)
Al (0.4101, 0.4101, 0.9133)
Al (0.4101, 0.9133, 0.4101)
Al (0.5899, 0.0867, 0.5899)
Al (0.5899, 0.5899, 0.0867)
Al (0.6665, 0.6665, 0.6665)
Al (0.8443, 0.8443, 0.8443)
Al (0.9133, 0.4101, 0.4101)
Al (0.9539, 0.9539, 0.9539)
W (0.5000, 0.5000, 0.5000)

Top 8 peaks for 15° ≤ 2θ ≤ 90°, by angle:
19.92 deg, I 77.7
20.69 deg, I 56.7
23.51 deg, I 52.6
34.40 deg, I 57.6
39.68 deg, I 100.0
40.97 deg, I 45.3
43.26 deg, I 42.8
45.56 deg, I 34.4